Record 1
Structure and simulated X-ray diffraction stick pattern of NdTlS2 (a cell relaxed with GGA-PBE; a wavelength of 1.5418 Å).
Peak positions follow from Bragg's law for the DFT cell and can differ from measured ones.

Principal peaks in the range 2θ from 10° to 90°, in order of rising 2θ:
2theta	d_spacing	I/Imax
23.71	3.753	28
25.81	3.452	63
29.30	3.049	100
40.57	2.224	38
43.21	2.094	35
47.53	1.913	15
49.88	1.828	24
53.06	1.726	19
66.97	1.397	16
70.75	1.332	16

Structural model:
Unit cell a=7.886 b=7.886 c=7.886 alpha=30.79 beta=30.79 gamma=30.79
Positions (direct):
Nd (0.000, 0.000, 0.000)
Tl (0.500, 0.500, 0.500)
S (0.265, 0.265, 0.265)
S (0.735, 0.735, 0.735)

***

Record 2
Structure and simulated X-ray diffraction stick pattern of Nd4Tm11S22 (a cell relaxed with GGA-PBE; a wavelength of 1.5418 Å).
Peak positions follow from Bragg's law for the DFT cell and can differ from measured ones.

Principal peaks in the range 2θ from 10° to 90°, in order of rising 2θ:
2theta	d_spacing	I/Imax
23.65	3.763	80
24.40	3.648	100
25.11	3.546	38
26.60	3.351	59
27.54	3.239	48
27.86	3.202	62
31.72	2.821	63
34.18	2.624	55
42.36	2.134	55
46.38	1.958	50

Structural model:
Unit cell a=19.540 b=19.540 c=11.292 alpha=91.40 beta=91.40 gamma=11.50
Positions (direct):
Nd (0.105, 0.105, 0.013)
Nd (0.367, 0.367, 0.348)
Nd (0.633, 0.633, 0.652)
Nd (0.895, 0.895, 0.987)
Tm (0.000, 0.000, 0.000)
Tm (0.070, 0.070, 0.361)
Tm (0.202, 0.202, 0.942)
Tm (0.264, 0.264, 0.352)
Tm (0.342, 0.342, 0.699)
Tm (0.462, 0.462, 0.270)
Tm (0.538, 0.538, 0.730)
Tm (0.658, 0.658, 0.301)
Tm (0.736, 0.736, 0.648)
Tm (0.798, 0.798, 0.058)
Tm (0.930, 0.930, 0.639)
S (0.008, 0.008, 0.240)
S (0.088, 0.088, 0.754)
S (0.135, 0.135, 0.453)
S (0.169, 0.169, 0.151)
S (0.189, 0.189, 0.691)
S (0.255, 0.255, 0.119)
S (0.280, 0.280, 0.589)
S (0.350, 0.350, 0.092)
S (0.407, 0.407, 0.787)
S (0.445, 0.445, 0.494)
S (0.453, 0.453, 0.030)
S (0.547, 0.547, 0.970)
S (0.555, 0.555, 0.506)
S (0.593, 0.593, 0.213)
S (0.650, 0.650, 0.908)
S (0.720, 0.720, 0.411)
S (0.745, 0.745, 0.881)
S (0.811, 0.811, 0.309)
S (0.831, 0.831, 0.849)
S (0.865, 0.865, 0.547)
S (0.912, 0.912, 0.246)
S (0.992, 0.992, 0.760)

***

Record 3
Structure and simulated X-ray diffraction stick pattern of Nd2US5 (a cell relaxed with GGA-PBE; a wavelength of 1.5418 Å).
Peak positions follow from Bragg's law for the DFT cell and can differ from measured ones.

Principal peaks in the range 2θ from 10° to 90°, in order of rising 2θ:
2theta	d_spacing	I/Imax
23.71	3.753	46
25.30	3.520	100
26.09	3.415	83
26.59	3.352	66
35.92	2.500	67
37.40	2.404	31
40.64	2.220	22
44.77	2.024	36
45.70	1.985	45
52.13	1.755	41

Structural model:
Unit cell a=11.955 b=8.097 c=7.507 alpha=90.00 beta=90.00 gamma=90.00
Positions (direct):
Nd (0.177, 0.000, 0.024)
Nd (0.177, 0.500, 0.024)
Nd (0.323, 0.000, 0.524)
Nd (0.323, 0.500, 0.524)
Nd (0.677, 0.000, 0.476)
Nd (0.677, 0.500, 0.476)
Nd (0.823, 0.000, 0.976)
Nd (0.823, 0.500, 0.976)
U (0.009, 0.250, 0.572)
U (0.491, 0.750, 0.072)
U (0.509, 0.250, 0.928)
U (0.991, 0.750, 0.428)
S (0.001, 0.250, 0.954)
S (0.095, 0.543, 0.660)
S (0.095, 0.957, 0.660)
S (0.186, 0.250, 0.330)
S (0.214, 0.750, 0.304)
S (0.286, 0.250, 0.804)
S (0.314, 0.750, 0.830)
S (0.405, 0.043, 0.160)
S (0.405, 0.457, 0.160)
S (0.499, 0.750, 0.454)
S (0.501, 0.250, 0.546)
S (0.595, 0.543, 0.840)
S (0.595, 0.957, 0.840)
S (0.686, 0.250, 0.170)
S (0.714, 0.750, 0.196)
S (0.786, 0.250, 0.696)
S (0.814, 0.750, 0.670)
S (0.905, 0.043, 0.340)
S (0.905, 0.457, 0.340)
S (0.999, 0.750, 0.046)